(1)
This entry pairs a crystal structure of La2Sm with its calculated powder diffractogram. Radiation: CuKα. Structure: a cell relaxed with GGA-PBE.
Intensities are scaled so that the largest is 100.

Peak list (8 most intense, 2θ = 10–90°, in order of rising 2θ)
Position (°2θ)  d [Å]  I_rel
27.9  3.194  36
29.5  3.024  49
30.7  2.908  100
32.3  2.769  79
38.5  2.337  20
49.1  1.857  36
52.1  1.755  25
58.3  1.582  43

Structural model:
Lattice parameters (Å, degrees): 3.7139 3.7139 27.2185 90.00 90.00 120.00
Atoms (fractional coordinates):
La  0.0000  0.0000  0.2242
La  0.0000  0.0000  0.7758
La  0.3333  0.6667  0.4425
La  0.3333  0.6667  0.8908
La  0.6667  0.3333  0.1092
La  0.6667  0.3333  0.5575
Sm  0.0000  0.0000  0.0000
Sm  0.3333  0.6667  0.6667
Sm  0.6667  0.3333  0.3333

(2)
This entry pairs a crystal structure of La3Sm4 with its calculated powder diffractogram. Radiation: CuKα. Structure: a cell relaxed with GGA-PBE.
Intensities are scaled so that the largest is 100.

Peak list (8 most intense, 2θ = 10–90°, in order of rising 2θ)
Position (°2θ)  d [Å]  I_rel
30.4  2.939  86
30.7  2.910  100
34.7  2.586  11
43.8  2.068  27
54.4  1.686  25
54.6  1.680  16
64.0  1.455  9
72.5  1.304  9

Structural model:
Lattice parameters (Å, degrees): 9.2112 9.2112 9.2112 113.40 113.40 113.40
Atoms (fractional coordinates):
La  0.0011  0.7212  0.5993
La  0.2788  0.4007  0.9989
La  0.4007  0.9989  0.2788
La  0.5993  0.0011  0.7212
La  0.7212  0.5993  0.0011
La  0.9989  0.2788  0.4007
Sm  0.0000  0.0000  0.0000
Sm  0.0981  0.5552  0.2424
Sm  0.2424  0.0981  0.5552
Sm  0.4448  0.7576  0.9019
Sm  0.5000  0.5000  0.5000
Sm  0.5552  0.2424  0.0981
Sm  0.7576  0.9019  0.4448
Sm  0.9019  0.4448  0.7576

(3)
This entry pairs a crystal structure of La5Sm with its calculated powder diffractogram. Radiation: CuKα. Structure: a cell relaxed with GGA-PBE.
Intensities are scaled so that the largest is 100.

Peak list (8 most intense, 2θ = 10–90°, in order of rising 2θ)
Position (°2θ)  d [Å]  I_rel
29.5  3.028  100
34.0  2.640  17
34.3  2.614  33
49.0  1.857  24
58.0  1.589  15
58.4  1.579  14
58.6  1.576  14
82.3  1.171  8

Structural model:
Lattice parameters (Å, degrees): 5.2799 11.1123 7.3766 90.00 90.00 90.00
Atoms (fractional coordinates):
La  0.2500  0.0814  0.1251
La  0.2500  0.0829  0.6246
La  0.2500  0.4171  0.6246
La  0.2500  0.4186  0.1251
La  0.2500  0.7500  0.6264
La  0.7500  0.2500  0.3736
La  0.7500  0.5814  0.8749
La  0.7500  0.5829  0.3754
La  0.7500  0.9171  0.3754
La  0.7500  0.9186  0.8749
Sm  0.2500  0.7500  0.1239
Sm  0.7500  0.2500  0.8761

(4)
This entry pairs a crystal structure of La7Sm2 with its calculated powder diffractogram. Radiation: CuKα. Structure: a cell relaxed with GGA-PBE.
Intensities are scaled so that the largest is 100.

Peak list (8 most intense, 2θ = 10–90°, in order of rising 2θ)
Position (°2θ)  d [Å]  I_rel
29.6  3.022  100
34.3  2.617  51
49.2  1.851  36
58.4  1.579  33
58.5  1.577  11
61.3  1.512  9
79.8  1.202  9
82.3  1.171  8

Structural model:
Lattice parameters (Å, degrees): 6.4171 6.4171 9.0510 90.00 90.00 120.00
Atoms (fractional coordinates):
La  0.0000  0.0000  0.0000
La  0.0000  0.3337  0.6676
La  0.0000  0.6663  0.3324
La  0.3337  0.0000  0.6676
La  0.3337  0.3337  0.3324
La  0.6663  0.0000  0.3324
La  0.6663  0.6663  0.6676
Sm  0.3333  0.6667  0.0000
Sm  0.6667  0.3333  0.0000

(5)
This entry pairs a crystal structure of La5Sm3 with its calculated powder diffractogram. Radiation: CuKα. Structure: a cell relaxed with GGA-PBE.
Intensities are scaled so that the largest is 100.

Peak list (8 most intense, 2θ = 10–90°, in order of rising 2θ)
Position (°2θ)  d [Å]  I_rel
29.6  3.015  100
34.1  2.631  17
34.5  2.601  33
49.3  1.850  24
49.6  1.839  12
58.3  1.583  15
58.8  1.570  29
61.5  1.507  12

Structural model:
Lattice parameters (Å, degrees): 10.5255 7.3559 7.3559 90.05 90.00 90.00
Atoms (fractional coordinates):
La  0.0000  0.0000  0.0000
La  0.0000  0.0000  0.4936
La  0.0000  0.4936  0.0000
La  0.2483  0.7462  0.7462
La  0.2526  0.2466  0.7463
La  0.2526  0.7463  0.2466
La  0.5000  0.4968  0.4968
La  0.7474  0.2466  0.7463
La  0.7474  0.7463  0.2466
La  0.7517  0.7462  0.7462
Sm  0.0000  0.4941  0.4941
Sm  0.2556  0.2470  0.2470
Sm  0.5000  0.4955  0.9966
Sm  0.5000  0.9966  0.4955
Sm  0.5000  0.9967  0.9967
Sm  0.7444  0.2470  0.2470

(6)
This entry pairs a crystal structure of La5Sm2Sn5 with its calculated powder diffractogram. Radiation: CuKα. Structure: a cell relaxed with GGA-PBE.
Intensities are scaled so that the largest is 100.

Peak list (8 most intense, 2θ = 10–90°, in order of rising 2θ)
Position (°2θ)  d [Å]  I_rel
26.3  3.394  78
27.1  3.294  100
27.5  3.249  96
28.4  3.148  74
29.6  3.016  62
30.4  2.940  67
39.6  2.278  68
39.9  2.261  70

Structural model:
Lattice parameters (Å, degrees): 7.9718 7.9718 13.2105 109.17 109.17 33.20
Atoms (fractional coordinates):
La  0.0000  0.0000  0.0000
La  0.1615  0.1615  0.5418
La  0.2282  0.2282  0.8441
La  0.7718  0.7718  0.1559
La  0.8385  0.8385  0.4582
Sm  0.4520  0.4520  0.7124
Sm  0.5480  0.5480  0.2876
Sn  0.1913  0.1913  0.2928
Sn  0.3840  0.3840  0.0748
Sn  0.5000  0.5000  0.5000
Sn  0.6160  0.6160  0.9252
Sn  0.8087  0.8087  0.7072

(7)
This entry pairs a crystal structure of La4SmSn3 with its calculated powder diffractogram. Radiation: CuKα. Structure: a cell relaxed with GGA-PBE.
Intensities are scaled so that the largest is 100.

Peak list (8 most intense, 2θ = 10–90°, in order of rising 2θ)
Position (°2θ)  d [Å]  I_rel
29.0  3.076  75
31.5  2.843  84
31.7  2.820  61
32.3  2.769  100
34.8  2.578  42
40.8  2.210  27
52.8  1.735  25
60.2  1.538  25

Structural model:
Lattice parameters (Å, degrees): 9.5244 9.5244 9.5244 96.27 96.27 141.41
Atoms (fractional coordinates):
La  0.0874  0.7796  0.8671
La  0.2204  0.0874  0.3078
La  0.2796  0.5874  0.8671
La  0.4126  0.2796  0.6922
La  0.5874  0.7204  0.3078
La  0.7204  0.4126  0.1329
La  0.7796  0.9126  0.6922
La  0.9126  0.2204  0.1329
Sm  0.2500  0.7500  0.5000
Sm  0.7500  0.2500  0.5000
Sn  0.1571  0.3429  0.5000
Sn  0.2500  0.2500  0.0000
Sn  0.3429  0.8429  0.1858
Sn  0.6571  0.1571  0.8142
Sn  0.7500  0.7500  0.0000
Sn  0.8429  0.6571  0.5000

(8)
This entry pairs a crystal structure of LaSm3Sn with its calculated powder diffractogram. Radiation: CuKα. Structure: a cell relaxed with GGA-PBE.
Intensities are scaled so that the largest is 100.

Peak list (8 most intense, 2θ = 10–90°, in order of rising 2θ)
Position (°2θ)  d [Å]  I_rel
27.8  3.209  46
29.7  3.003  100
30.9  2.892  33
31.5  2.844  94
32.6  2.745  46
37.2  2.419  87
55.0  1.670  32
59.5  1.553  41

Structural model:
Lattice parameters (Å, degrees): 3.6299 6.6801 13.7265 90.00 90.00 90.00
Atoms (fractional coordinates):
La  0.2500  0.2500  0.0126
La  0.7500  0.7500  0.9874
Sm  0.2500  0.2500  0.4254
Sm  0.2500  0.5026  0.7770
Sm  0.2500  0.9974  0.7770
Sm  0.7500  0.0026  0.2230
Sm  0.7500  0.4974  0.2230
Sm  0.7500  0.7500  0.5746
Sn  0.2500  0.7500  0.3808
Sn  0.7500  0.2500  0.6192

(9)
This entry pairs a crystal structure of La4SmSn2 with its calculated powder diffractogram. Radiation: CuKα. Structure: a cell relaxed with GGA-PBE.
Intensities are scaled so that the largest is 100.

Peak list (8 most intense, 2θ = 10–90°, in order of rising 2θ)
Position (°2θ)  d [Å]  I_rel
31.6  2.830  100
32.6  2.743  16
33.9  2.648  20
36.1  2.486  20
39.8  2.264  11
50.4  1.812  13
59.2  1.561  11
62.2  1.493  15

Structural model:
Lattice parameters (Å, degrees): 9.0552 10.5913 4.9715 90.00 90.00 90.00
Atoms (fractional coordinates):
La  0.2093  0.0000  0.0000
La  0.2500  0.2500  0.5000
La  0.2500  0.7500  0.5000
La  0.2907  0.5000  0.0000
La  0.7093  0.5000  0.0000
La  0.7500  0.2500  0.5000
La  0.7500  0.7500  0.5000
La  0.7907  0.0000  0.0000
Sm  0.0000  0.5000  0.5000
Sm  0.5000  0.0000  0.5000
Sn  0.0000  0.2841  0.0000
Sn  0.0000  0.7159  0.0000
Sn  0.5000  0.2159  0.0000
Sn  0.5000  0.7841  0.0000

(10)
This entry pairs a crystal structure of LaSmSn2 with its calculated powder diffractogram. Radiation: CuKα. Structure: a cell relaxed with GGA-PBE.
Intensities are scaled so that the largest is 100.

Peak list (8 most intense, 2θ = 10–90°, in order of rising 2θ)
Position (°2θ)  d [Å]  I_rel
26.6  3.345  41
28.8  3.104  81
29.9  2.990  67
32.1  2.790  100
33.8  2.654  43
36.3  2.473  91
41.0  2.200  39
43.7  2.071  31

Structural model:
Lattice parameters (Å, degrees): 4.4006 6.3619 8.7603 90.00 90.00 90.00
Atoms (fractional coordinates):
La  0.0000  0.1299  0.0000
La  0.0000  0.8701  0.5000
Sm  0.5000  0.3719  0.6346
Sm  0.5000  0.6281  0.1346
Sn  0.0000  0.4025  0.3589
Sn  0.0000  0.5975  0.8589
Sn  0.5000  0.1003  0.2767
Sn  0.5000  0.8997  0.7767

(11)
This entry pairs a crystal structure of La5SmSn2 with its calculated powder diffractogram. Radiation: CuKα. Structure: a cell relaxed with GGA-PBE.
Intensities are scaled so that the largest is 100.

Peak list (8 most intense, 2θ = 10–90°, in order of rising 2θ)
Position (°2θ)  d [Å]  I_rel
28.1  3.176  100
29.2  3.059  27
29.7  3.004  40
31.2  2.865  33
32.7  2.736  60
34.1  2.628  39
36.1  2.486  29
41.2  2.190  30

Structural model:
Lattice parameters (Å, degrees): 6.5671 6.5671 19.8863 90.00 90.00 141.04
Atoms (fractional coordinates):
La  0.0373  0.9627  0.6155
La  0.0373  0.9627  0.8845
La  0.3594  0.6406  0.5232
La  0.3594  0.6406  0.9768
La  0.4157  0.5843  0.2500
La  0.5843  0.4157  0.7500
La  0.6406  0.3594  0.0232
La  0.6406  0.3594  0.4768
La  0.9627  0.0373  0.1155
La  0.9627  0.0373  0.3845
Sm  0.3091  0.6909  0.7500
Sm  0.6909  0.3091  0.2500
Sn  0.2449  0.7551  0.1310
Sn  0.2449  0.7551  0.3690
Sn  0.7551  0.2449  0.6310
Sn  0.7551  0.2449  0.8690

(12)
This entry pairs a crystal structure of SrLaSm4 with its calculated powder diffractogram. Radiation: CuKα. Structure: a cell relaxed with GGA-PBE.
Intensities are scaled so that the largest is 100.

Peak list (8 most intense, 2θ = 10–90°, in order of rising 2θ)
Position (°2θ)  d [Å]  I_rel
15.7  5.634  17
25.8  3.450  18
30.4  2.942  100
31.8  2.817  50
48.5  1.878  37
53.1  1.725  33
63.2  1.471  21
74.7  1.270  23

Structural model:
Lattice parameters (Å, degrees): 6.8997 6.8997 6.8997 60.00 60.00 60.00
Atoms (fractional coordinates):
Sr  0.0000  0.0000  0.0000
La  0.2500  0.2500  0.2500
Sm  0.1324  0.6225  0.6225
Sm  0.6225  0.1324  0.6225
Sm  0.6225  0.6225  0.1324
Sm  0.6225  0.6225  0.6225